No. 1
Structure and calculated powder diffractogram of K4V2O7 (a structure optimized by DFT (PBE+U); copper Kα).
Peak positions follow from Bragg's law for the DFT cell and can differ from measured ones.

a b c (Å): 6.137 6.137 7.357
angles (deg): 99.62 99.62 62.21
Fractional coordinates of all 13 atoms:
K 0.000 0.000 0.000
K 0.000 0.000 0.500
K 0.320 0.320 0.805
K 0.680 0.680 0.195
V 0.364 0.364 0.300
V 0.636 0.636 0.700
O 0.161 0.603 0.172
O 0.215 0.215 0.361
O 0.397 0.839 0.828
O 0.500 0.500 0.500
O 0.603 0.161 0.172
O 0.785 0.785 0.639
O 0.839 0.397 0.828

Main lines, by intensity (2θ from 10° to 90°):
| 2θ (°) | d (Å) | Rel. int. |
| --- | --- | --- |
| 31.19 | 2.868 | 100 |
| 29.57 | 3.021 | 75 |
| 28.15 | 3.170 | 59 |
| 39.59 | 2.276 | 59 |
| 27.27 | 3.271 | 33 |
| 51.76 | 1.766 | 31 |
| 19.11 | 4.644 | 22 |
| 65.04 | 1.434 | 16 |

***

No. 2
Structure and calculated powder diffractogram of K3VO8 (a structure optimized by DFT (PBE+U); copper Kα).
Peak positions follow from Bragg's law for the DFT cell and can differ from measured ones.

a b c (Å): 6.217 6.217 6.217
angles (deg): 113.61 113.61 101.47
Fractional coordinates of all 12 atoms:
K 0.000 0.000 0.000
K 0.250 0.750 0.500
K 0.750 0.250 0.500
V 0.500 0.500 0.000
O 0.184 0.455 0.000
O 0.281 0.691 0.000
O 0.309 0.309 0.590
O 0.455 0.184 0.000
O 0.545 0.545 0.729
O 0.691 0.281 0.000
O 0.719 0.719 0.410
O 0.816 0.816 0.271

Main lines, by intensity (2θ from 10° to 90°):
| 2θ (°) | d (Å) | Rel. int. |
| --- | --- | --- |
| 29.32 | 3.047 | 100 |
| 48.18 | 1.889 | 54 |
| 37.36 | 2.407 | 45 |
| 17.22 | 5.149 | 34 |
| 26.18 | 3.404 | 28 |
| 60.82 | 1.523 | 27 |
| 75.12 | 1.265 | 22 |
| 31.51 | 2.839 | 15 |

***

No. 3
Structure and calculated powder diffractogram of K3VO3 (a structure optimized by DFT (PBE+U); copper Kα).
Peak positions follow from Bragg's law for the DFT cell and can differ from measured ones.

a b c (Å): 7.343 6.762 10.946
angles (deg): 90.00 92.89 90.00
Fractional coordinates of all 28 atoms:
K 0.053 0.121 0.163
K 0.053 0.379 0.663
K 0.353 0.174 0.925
K 0.353 0.326 0.425
K 0.375 0.687 0.814
K 0.375 0.813 0.314
K 0.625 0.187 0.686
K 0.625 0.313 0.186
K 0.647 0.674 0.575
K 0.647 0.826 0.075
K 0.947 0.621 0.337
K 0.947 0.879 0.837
V 0.161 0.591 0.070
V 0.161 0.909 0.570
V 0.839 0.091 0.430
V 0.839 0.409 0.930
O 0.106 0.040 0.408
O 0.106 0.460 0.908
O 0.260 0.654 0.547
O 0.260 0.846 0.047
O 0.293 0.041 0.697
O 0.293 0.459 0.197
O 0.707 0.541 0.803
O 0.707 0.959 0.303
O 0.740 0.154 0.953
O 0.740 0.346 0.453
O 0.894 0.540 0.092
O 0.894 0.960 0.592

Main lines, by intensity (2θ from 10° to 90°):
| 2θ (°) | d (Å) | Rel. int. |
| --- | --- | --- |
| 30.41 | 2.940 | 100 |
| 35.43 | 2.534 | 77 |
| 31.59 | 2.832 | 61 |
| 30.03 | 2.976 | 59 |
| 39.67 | 2.272 | 37 |
| 29.90 | 2.988 | 35 |
| 29.08 | 3.070 | 21 |
| 19.36 | 4.585 | 20 |

***

No. 4
Structure and calculated powder diffractogram of KV4O10 (a structure optimized by DFT (PBE+U); copper Kα).
Peak positions follow from Bragg's law for the DFT cell and can differ from measured ones.

a b c (Å): 6.143 6.143 20.273
angles (deg): 90.00 90.00 144.67
Fractional coordinates of all 30 atoms:
K 0.106 0.894 0.750
K 0.894 0.106 0.250
V 0.270 0.730 0.577
V 0.270 0.730 0.923
V 0.434 0.566 0.075
V 0.434 0.566 0.425
V 0.566 0.434 0.575
V 0.566 0.434 0.925
V 0.730 0.270 0.077
V 0.730 0.270 0.423
O 0.101 0.899 0.562
O 0.101 0.899 0.938
O 0.260 0.740 0.056
O 0.260 0.740 0.444
O 0.284 0.716 0.657
O 0.284 0.716 0.843
O 0.420 0.580 0.546
O 0.420 0.580 0.954
O 0.446 0.554 0.156
O 0.446 0.554 0.344
O 0.554 0.446 0.656
O 0.554 0.446 0.844
O 0.580 0.420 0.046
O 0.580 0.420 0.454
O 0.716 0.284 0.157
O 0.716 0.284 0.343
O 0.740 0.260 0.556
O 0.740 0.260 0.944
O 0.899 0.101 0.062
O 0.899 0.101 0.438

Main lines, by intensity (2θ from 10° to 90°):
| 2θ (°) | d (Å) | Rel. int. |
| --- | --- | --- |
| 26.38 | 3.379 | 100 |
| 15.76 | 5.624 | 83 |
| 35.87 | 2.504 | 82 |
| 25.07 | 3.552 | 65 |
| 26.59 | 3.352 | 59 |
| 48.86 | 1.864 | 53 |
| 35.42 | 2.534 | 52 |
| 25.46 | 3.499 | 49 |

***

No. 5
Structure and calculated powder diffractogram of K3V5O14 (a structure optimized by DFT (PBE+U); copper Kα).
Peak positions follow from Bragg's law for the DFT cell and can differ from measured ones.

a b c (Å): 8.789 8.789 5.316
angles (deg): 90.00 90.00 120.00
Fractional coordinates of all 22 atoms:
K 0.000 0.609 0.000
K 0.391 0.391 0.000
K 0.609 0.000 0.000
V 0.000 0.228 0.469
V 0.228 0.000 0.469
V 0.333 0.667 0.464
V 0.667 0.333 0.464
V 0.772 0.772 0.469
O 0.000 0.246 0.776
O 0.000 0.831 0.399
O 0.168 0.461 0.347
O 0.169 0.169 0.399
O 0.246 0.000 0.776
O 0.293 0.832 0.347
O 0.333 0.667 0.776
O 0.461 0.168 0.347
O 0.539 0.707 0.347
O 0.667 0.333 0.776
O 0.707 0.539 0.347
O 0.754 0.754 0.776
O 0.831 0.000 0.399
O 0.832 0.293 0.347

Main lines, by intensity (2θ from 10° to 90°):
| 2θ (°) | d (Å) | Rel. int. |
| --- | --- | --- |
| 26.31 | 3.387 | 100 |
| 16.68 | 5.316 | 58 |
| 31.09 | 2.877 | 49 |
| 28.85 | 3.095 | 41 |
| 55.34 | 1.660 | 27 |
| 33.72 | 2.658 | 25 |
| 35.48 | 2.530 | 22 |
| 46.52 | 1.952 | 20 |

***

No. 6
Structure and calculated powder diffractogram of K5V2O6 (a structure optimized by DFT (PBE+U); copper Kα).
Peak positions follow from Bragg's law for the DFT cell and can differ from measured ones.

a b c (Å): 6.391 6.391 14.102
angles (deg): 97.81 97.81 65.43
Fractional coordinates of all 26 atoms:
K 0.114 0.886 0.750
K 0.166 0.714 0.006
K 0.273 0.419 0.290
K 0.286 0.834 0.494
K 0.419 0.273 0.790
K 0.581 0.727 0.210
K 0.714 0.166 0.506
K 0.727 0.581 0.710
K 0.834 0.286 0.994
K 0.886 0.114 0.250
V 0.146 0.406 0.574
V 0.406 0.146 0.074
V 0.594 0.854 0.926
V 0.854 0.594 0.426
O 0.107 0.208 0.643
O 0.119 0.299 0.440
O 0.208 0.107 0.143
O 0.299 0.119 0.940
O 0.386 0.477 0.624
O 0.477 0.386 0.124
O 0.523 0.614 0.876
O 0.614 0.523 0.376
O 0.701 0.881 0.060
O 0.792 0.893 0.857
O 0.881 0.701 0.560
O 0.893 0.792 0.357

Main lines, by intensity (2θ from 10° to 90°):
| 2θ (°) | d (Å) | Rel. int. |
| --- | --- | --- |
| 29.98 | 2.980 | 100 |
| 31.97 | 2.799 | 99 |
| 16.05 | 5.521 | 97 |
| 32.31 | 2.771 | 82 |
| 32.99 | 2.715 | 64 |
| 28.86 | 3.094 | 54 |
| 28.75 | 3.105 | 43 |
| 46.99 | 1.934 | 40 |

***

No. 7
Structure and calculated powder diffractogram of KV3O8 (a structure optimized by DFT (PBE+U); copper Kα).
Peak positions follow from Bragg's law for the DFT cell and can differ from measured ones.

a b c (Å): 5.135 8.745 7.985
angles (deg): 90.00 101.24 90.00
Fractional coordinates of all 24 atoms:
K 0.018 0.250 0.450
K 0.982 0.750 0.550
V 0.075 0.250 0.933
V 0.458 0.558 0.181
V 0.458 0.942 0.181
V 0.542 0.058 0.819
V 0.542 0.442 0.819
V 0.925 0.750 0.067
O 0.076 0.750 0.905
O 0.135 0.605 0.217
O 0.135 0.895 0.217
O 0.328 0.090 0.998
O 0.328 0.410 0.998
O 0.393 0.250 0.748
O 0.399 0.554 0.664
O 0.399 0.946 0.664
O 0.601 0.054 0.336
O 0.601 0.446 0.336
O 0.607 0.750 0.252
O 0.672 0.590 0.002
O 0.672 0.910 0.002
O 0.865 0.105 0.783
O 0.865 0.395 0.783
O 0.924 0.250 0.095

Main lines, by intensity (2θ from 10° to 90°):
| 2θ (°) | d (Å) | Rel. int. |
| --- | --- | --- |
| 27.01 | 3.302 | 100 |
| 11.30 | 7.832 | 95 |
| 15.19 | 5.834 | 44 |
| 24.93 | 3.572 | 40 |
| 30.66 | 2.916 | 37 |
| 25.96 | 3.433 | 33 |
| 44.58 | 2.032 | 24 |
| 35.65 | 2.518 | 17 |